Simulated X-ray diffraction stick pattern of La2Mo2O9 for Cu Kα, from a GGA+U-relaxed structure.
Lines closer than 0.1° are merged.

Cell and atoms:
a b c (Å): 7.2710 7.2896 7.3494
angles (deg): 89.47 88.35 87.76
Sites, in units of the cell vectors:
La (0.0000, 0.0000, 0.0000)
La (0.1651, 0.4587, 0.3198)
La (0.4777, 0.2502, 0.8201)
La (0.6900, 0.7537, 0.5699)
Mo (0.0142, 0.4373, 0.7853)
Mo (0.1644, 0.9342, 0.4663)
Mo (0.4906, 0.7853, 0.0049)
Mo (0.6569, 0.2774, 0.3377)
O (0.0713, 0.0121, 0.6798)
O (0.1571, 0.3353, 0.9775)
O (0.2263, 0.1237, 0.3270)
O (0.2306, 0.3833, 0.6367)
O (0.2867, 0.6867, 0.1247)
O (0.3220, 0.9911, 0.9545)
O (0.3528, 0.7762, 0.5035)
O (0.5121, 0.2767, 0.1470)
O (0.5381, 0.5960, 0.8426)
O (0.5575, 0.4664, 0.4654)
O (0.6194, 0.0846, 0.4865)
O (0.6466, 0.7845, 0.1882)
O (0.6540, 0.9394, 0.8430)
O (0.8291, 0.2780, 0.8419)
O (0.8884, 0.2654, 0.2408)
O (0.9132, 0.4983, 0.5445)
O (0.9663, 0.6672, 0.8669)
O (0.9831, 0.8211, 0.3509)

Main lines, low angle first (2θ from 10° to 90°):
24.49 deg, I = 37, hkl 2 0 0; 26.96 deg, I = 57, hkl 1 2 0; 27.09 deg, I = 100, hkl 0 1 2; 27.28 deg, I = 27, hkl 0 1 -2; 27.71 deg, I = 38, hkl 2 0 -1; 27.83 deg, I = 44, hkl 1 -2 0; 29.34 deg, I = 27, hkl 2 1 1; 29.88 deg, I = 22, hkl 1 -1 2; 30.06 deg, I = 28, hkl 1 1 -2; 45.49 deg, I = 24, hkl 2 1 3

***

Simulated X-ray diffraction stick pattern of RbLaMo2O8 for Cu Kα, from a GGA+U-relaxed structure.
Lines closer than 0.1° are merged.

Cell and atoms:
a b c (Å): 6.4959 6.4959 9.8115
angles (deg): 90.00 90.00 90.00
Sites, in units of the cell vectors:
Rb (0.2500, 0.2500, 0.2500)
Rb (0.7500, 0.7500, 0.7500)
La (0.2500, 0.2500, 0.7500)
La (0.7500, 0.7500, 0.2500)
Mo (0.2500, 0.7500, 0.0000)
Mo (0.2500, 0.7500, 0.5000)
Mo (0.7500, 0.2500, 0.0000)
Mo (0.7500, 0.2500, 0.5000)
O (0.0562, 0.6405, 0.1093)
O (0.0562, 0.8595, 0.3907)
O (0.1405, 0.5562, 0.6093)
O (0.1405, 0.9438, 0.8907)
O (0.3595, 0.5562, 0.8907)
O (0.3595, 0.9438, 0.6093)
O (0.4438, 0.6405, 0.3907)
O (0.4438, 0.8595, 0.1093)
O (0.5562, 0.1405, 0.8907)
O (0.5562, 0.3595, 0.6093)
O (0.6405, 0.0562, 0.3907)
O (0.6405, 0.4438, 0.1093)
O (0.8595, 0.0562, 0.1093)
O (0.8595, 0.4438, 0.3907)
O (0.9438, 0.1405, 0.6093)
O (0.9438, 0.3595, 0.8907)

Main lines, low angle first (2θ from 10° to 90°):
26.58 deg, I = 100, hkl 1 1 2; 27.46 deg, I = 36, hkl 2 0 0; 39.23 deg, I = 15, hkl 2 2 0; 46.39 deg, I = 24, hkl 2 0 4; 48.02 deg, I = 35, hkl 3 1 2; 54.75 deg, I = 13, hkl 2 2 4; 60.06 deg, I = 9, hkl 1 1 6; 64.11 deg, I = 9, hkl 4 2 0; 74.11 deg, I = 11, hkl 3 1 6; 77.40 deg, I = 9, hkl 5 1 2

***

Simulated X-ray diffraction stick pattern of La2TeMo6O42 for Cu Kα, from a GGA+U-relaxed structure.
Lines closer than 0.1° are merged.

Cell and atoms:
a b c (Å): 8.6140 10.6083 10.7289
angles (deg): 102.99 104.83 107.62
Sites, in units of the cell vectors:
La (0.0195, 0.2479, 0.2778)
La (0.9805, 0.7521, 0.7222)
Te (0.5000, 0.0000, 0.5000)
Mo (0.3592, 0.2515, 0.6052)
Mo (0.4232, 0.0573, 0.7947)
Mo (0.4659, 0.2091, 0.3253)
Mo (0.5341, 0.7909, 0.6747)
Mo (0.5768, 0.9427, 0.2053)
Mo (0.6408, 0.7485, 0.3948)
O (0.0055, 0.9324, 0.1670)
O (0.0509, 0.9028, 0.0681)
O (0.0554, 0.4277, 0.8166)
O (0.0645, 0.6177, 0.4877)
O (0.0791, 0.6247, 0.1541)
O (0.0972, 0.5569, 0.8132)
O (0.1140, 0.5242, 0.4470)
O (0.1643, 0.2573, 0.4913)
O (0.1714, 0.3872, 0.0873)
O (0.2401, 0.9288, 0.8156)
O (0.2567, 0.1177, 0.6823)
O (0.2599, 0.2250, 0.2451)
O (0.2738, 0.3843, 0.0265)
O (0.3194, 0.0587, 0.4201)
O (0.3600, 0.8792, 0.5768)
O (0.3748, 0.6792, 0.7123)
O (0.4175, 0.0333, 0.1813)
O (0.4453, 0.4016, 0.7437)
O (0.4478, 0.8449, 0.3285)
O (0.4802, 0.8035, 0.0566)
O (0.4864, 0.6761, 0.4920)
O (0.5136, 0.3239, 0.5080)
O (0.5198, 0.1965, 0.9434)
O (0.5522, 0.1551, 0.6715)
O (0.5547, 0.5984, 0.2563)
O (0.5825, 0.9667, 0.8187)
O (0.6252, 0.3208, 0.2877)
O (0.6400, 0.1208, 0.4232)
O (0.6806, 0.9413, 0.5799)
O (0.7262, 0.6157, 0.9735)
O (0.7402, 0.7750, 0.7549)
O (0.7433, 0.8823, 0.3177)
O (0.7599, 0.0712, 0.1844)
O (0.8286, 0.6128, 0.9127)
O (0.8357, 0.7427, 0.5087)
O (0.8860, 0.4758, 0.5530)
O (0.9028, 0.4431, 0.1868)
O (0.9209, 0.3753, 0.8459)
O (0.9355, 0.3823, 0.5123)
O (0.9446, 0.5723, 0.1834)
O (0.9491, 0.0972, 0.9319)
O (0.9945, 0.0676, 0.8330)

Main lines, low angle first (2θ from 10° to 90°):
11.50 deg, I = 42, hkl 1 0 0; 15.96 deg, I = 32, hkl 1 1 -1; 16.96 deg, I = 29, hkl 1 0 1; 17.35 deg, I = 100, hkl 1 1 0; 23.12 deg, I = 43, hkl 2 0 0; 24.61 deg, I = 26, hkl -2 1 2; 25.80 deg, I = 27, hkl 0 1 -3; 28.57 deg, I = 26, hkl -2 2 2; 29.86 deg, I = 47, hkl 2 -3 1; 34.67 deg, I = 27, hkl 2 2 -3